1.
Computed X-ray diffraction stick pattern of Ir4Ru3Rh2 for Cu Ka, from a GGA-PBE-relaxed structure.
Peak positions follow from Bragg's law for the DFT cell and can differ from measured ones.

The 10 most intense peaks (15 to 90 degrees two-theta), in order of falling intensity:
d [Å], intensity
2.038, 100.0
2.139, 76.4
2.234, 55.3
2.364, 47.5
1.165, 38.0
1.365, 32.6
1.624, 28.0
1.228, 25.6
2.348, 19.4
1.134, 15.4

a b c (Å): 2.7298 2.7298 20.1090
angles (deg): 90.00 90.00 120.00
Positions (direct):
Ir  0.0000  0.0000  0.0000
Ir  0.0000  0.0000  0.2151
Ir  0.3333  0.6667  0.3287
Ir  0.3333  0.6667  0.5455
Ru  0.0000  0.0000  0.4374
Ru  0.3333  0.6667  0.1062
Ru  0.3333  0.6667  0.7664
Rh  0.0000  0.0000  0.6585
Rh  0.0000  0.0000  0.8725

2.
Computed X-ray diffraction stick pattern of BaMn2CdH8 for Cu Ka, from a GGA-PBE-relaxed structure.
Peak positions follow from Bragg's law for the DFT cell and can differ from measured ones.

The 10 most intense peaks (15 to 90 degrees two-theta), in order of falling intensity:
d [Å], intensity
4.116, 100.0
2.376, 90.0
1.884, 73.6
2.472, 72.5
3.091, 51.4
3.426, 23.9
1.390, 23.3
1.713, 22.8
1.447, 19.0
1.254, 18.5

a b c (Å): 4.7524 4.7524 6.1827
angles (deg): 90.00 90.00 120.00
Positions (direct):
Ba  0.0000  0.0000  0.0000
Mn  0.3333  0.6667  0.5578
Mn  0.6667  0.3333  0.4422
Cd  0.0000  0.0000  0.5000
H  0.0495  0.5247  0.3435
H  0.3333  0.6667  0.8307
H  0.4753  0.5247  0.3435
H  0.4753  0.9505  0.3435
H  0.5247  0.0495  0.6565
H  0.5247  0.4753  0.6565
H  0.6667  0.3333  0.1693
H  0.9505  0.4753  0.6565

3.
Computed X-ray diffraction stick pattern of Sr3InIr for Cu Ka, from a GGA-PBE-relaxed structure.
Peak positions follow from Bragg's law for the DFT cell and can differ from measured ones.

The 10 most intense peaks (15 to 90 degrees two-theta), in order of falling intensity:
d [Å], intensity
3.058, 100.0
5.557, 68.5
2.761, 51.4
2.848, 38.0
2.366, 35.7
2.535, 28.0
2.778, 25.9
2.169, 24.8
2.071, 24.0
2.213, 21.2

a b c (Å): 4.1418 11.1135 7.8454
angles (deg): 90.00 90.00 90.00
Positions (direct):
Sr  0.2500  0.0637  0.2250
Sr  0.2500  0.2500  0.6186
Sr  0.2500  0.4363  0.2250
Sr  0.7500  0.5637  0.7750
Sr  0.7500  0.7500  0.3814
Sr  0.7500  0.9363  0.7750
In  0.2500  0.7500  0.0205
In  0.7500  0.2500  0.9795
Ir  0.2500  0.7500  0.6774
Ir  0.7500  0.2500  0.3226

4.
Computed X-ray diffraction stick pattern of LiPm2Zn16 for Cu Ka, from a GGA-PBE-relaxed structure.
Peak positions follow from Bragg's law for the DFT cell and can differ from measured ones.

The 10 most intense peaks (15 to 90 degrees two-theta), in order of falling intensity:
d [Å], intensity
2.246, 100.0
2.260, 52.0
2.205, 46.5
2.012, 30.4
3.157, 29.9
2.610, 28.6
1.579, 24.3
2.527, 21.7
1.281, 18.8
1.593, 18.3

a b c (Å): 6.8339 6.8339 6.8339
angles (deg): 82.83 82.83 82.83
Positions (direct):
Li  0.0000  0.0000  0.0000
Pm  0.2427  0.2427  0.2427
Pm  0.5685  0.5685  0.5685
Zn  0.0698  0.5536  0.5536
Zn  0.1993  0.6146  0.9067
Zn  0.1993  0.9067  0.6146
Zn  0.2572  0.2572  0.7495
Zn  0.2572  0.7495  0.2572
Zn  0.4036  0.9081  0.9081
Zn  0.5536  0.0698  0.5536
Zn  0.5536  0.5536  0.0698
Zn  0.6146  0.1993  0.9067
Zn  0.6146  0.9067  0.1993
Zn  0.7495  0.2572  0.2572
Zn  0.8019  0.8019  0.8019
Zn  0.9067  0.1993  0.6146
Zn  0.9067  0.6146  0.1993
Zn  0.9081  0.4036  0.9081
Zn  0.9081  0.9081  0.4036

5.
Computed X-ray diffraction stick pattern of Al3Cu2Ni for Cu Ka, from a GGA-PBE-relaxed structure.
Peak positions follow from Bragg's law for the DFT cell and can differ from measured ones.

The 10 most intense peaks (15 to 90 degrees two-theta), in order of falling intensity:
d [Å], intensity
2.176, 100.0
1.876, 60.1
2.137, 28.1
1.133, 19.4
1.336, 18.0
1.317, 16.7
1.138, 10.9
1.121, 8.9
3.752, 7.5
3.205, 6.2

a b c (Å): 5.3427 5.3427 6.4101
angles (deg): 90.00 90.00 120.00
Positions (direct):
Al  0.1680  0.3360  0.1790
Al  0.1680  0.8320  0.1790
Al  0.3360  0.1680  0.8210
Al  0.6640  0.8320  0.1790
Al  0.8320  0.1680  0.8210
Al  0.8320  0.6640  0.8210
Cu  0.0000  0.0000  0.5000
Cu  0.0000  0.5000  0.5000
Cu  0.5000  0.0000  0.5000
Cu  0.5000  0.5000  0.5000
Ni  0.3333  0.6667  0.8573
Ni  0.6667  0.3333  0.1427

6.
Computed X-ray diffraction stick pattern of ScTaIrRh2 for Cu Ka, from a GGA-PBE-relaxed structure.
Peak positions follow from Bragg's law for the DFT cell and can differ from measured ones.

The 10 most intense peaks (15 to 90 degrees two-theta), in order of falling intensity:
d [Å], intensity
3.385, 100.0
2.295, 66.1
1.692, 51.6
2.505, 42.5
1.900, 41.2
2.724, 39.6
1.362, 24.9
1.623, 22.5
3.246, 17.3
5.010, 15.8

a b c (Å): 4.5910 4.5910 5.0103
angles (deg): 90.00 90.00 90.00
Positions (direct):
Sc  0.0000  0.0000  0.0000
Ta  0.0000  0.0000  0.5000
Ir  0.5000  0.5000  0.0000
Rh  0.0000  0.5000  0.5000
Rh  0.5000  0.0000  0.5000

7.
Computed X-ray diffraction stick pattern of K2BeAg for Cu Ka, from a GGA-PBE-relaxed structure.
Peak positions follow from Bragg's law for the DFT cell and can differ from measured ones.

The 10 most intense peaks (15 to 90 degrees two-theta), in order of falling intensity:
d [Å], intensity
4.295, 100.0
2.783, 59.9
2.520, 55.1
3.112, 41.2
1.978, 26.9
2.187, 26.2
2.756, 25.9
3.074, 24.9
3.535, 23.1
2.063, 22.3

a b c (Å): 9.0936 9.0936 9.0936
angles (deg): 93.63 93.63 150.85
Positions (direct):
K  0.3750  0.1943  0.3193
K  0.8057  0.1250  0.1807
K  0.8750  0.0557  0.6807
K  0.9443  0.6250  0.8193
Be  0.2500  0.7500  0.5000
Be  0.5000  0.5000  0.0000
Ag  0.0000  0.0000  0.0000
Ag  0.7500  0.2500  0.5000

8.
Computed X-ray diffraction stick pattern of Na8B13C3 for Cu Ka, from a GGA-PBE-relaxed structure.
Peak positions follow from Bragg's law for the DFT cell and can differ from measured ones.

The 10 most intense peaks (15 to 90 degrees two-theta), in order of falling intensity:
d [Å], intensity
2.197, 100.0
2.186, 50.5
2.165, 36.3
2.550, 19.8
1.465, 17.5
1.213, 16.7
1.256, 12.1
1.223, 11.7
1.650, 11.1
2.532, 9.2

a b c (Å): 10.0328 5.8609 9.1502
angles (deg): 80.65 35.20 64.15
Positions (direct):
Na  0.1234  0.8766  0.1234
Na  0.1252  0.3711  0.1215
Na  0.3711  0.1252  0.3823
Na  0.3706  0.6208  0.3792
Na  0.6177  0.8785  0.6289
Na  0.6208  0.3706  0.6294
Na  0.8766  0.1234  0.8766
Na  0.8785  0.6177  0.8748
B  0.0726  0.5953  0.4047
B  0.0834  0.0834  0.4166
B  0.1637  0.1637  0.8363
B  0.3378  0.3378  0.6622
B  0.3391  0.8174  0.6609
B  0.4137  0.4137  0.0863
B  0.4248  0.9024  0.0976
B  0.5834  0.5834  0.9166
B  0.5953  0.0726  0.9274
B  0.8174  0.3391  0.1826
B  0.8305  0.8305  0.1695
B  0.9024  0.4248  0.5752
B  0.9137  0.9137  0.5863
C  0.1665  0.6632  0.8335
C  0.6632  0.1665  0.3368
C  0.6631  0.6631  0.3369